1.
This entry pairs a crystal structure of Ta4CoPN2 with its simulated X-ray powder pattern. Radiation: a wavelength of 1.5418 Å. Structure: the GGA-PBE geometry in OQMD.
No peak broadening, texture or thermal motion is included.

Peak list (10 most intense, 5 to 70 degrees two-theta, most intense first)
- 2θ = 39.75°, intensity 100
- 2θ = 33.50°, intensity 30
- 2θ = 32.65°, intensity 28
- 2θ = 58.26°, intensity 26
- 2θ = 29.55°, intensity 18
- 2θ = 63.66°, intensity 15
- 2θ = 44.60°, intensity 12
- 2θ = 66.67°, intensity 12
- 2θ = 44.98°, intensity 10
- 2θ = 56.67°, intensity 10

```
Ta4CoPN2
1.0
3.167 0.000 0.000
-1.584 2.743 0.000
0.000 0.000 12.093
Ta Co P N
4 1 1 2
Cartesian
0.000 0.000 1.754
0.000 0.000 10.340
1.584 0.914 4.203
1.584 0.914 7.891
0.000 0.000 6.047
1.584 0.914 0.000
0.000 1.829 3.024
0.000 1.829 9.069
```

2.
This entry pairs a crystal structure of Y4CoPbN2 with its simulated X-ray powder pattern. Radiation: a wavelength of 1.5418 Å. Structure: the GGA-PBE geometry in OQMD.
No peak broadening, texture or thermal motion is included.

Peak list (10 most intense, 5 to 70 degrees two-theta, most intense first)
- 2θ = 34.79°, intensity 100
- 2θ = 29.42°, intensity 29
- 2θ = 31.90°, intensity 25
- 2θ = 52.18°, intensity 25
- 2θ = 6.03°, intensity 24
- 2θ = 64.25°, intensity 16
- 2θ = 42.88°, intensity 16
- 2θ = 58.86°, intensity 16
- 2θ = 30.49°, intensity 13
- 2θ = 65.54°, intensity 12

```
Y4CoPbN2
1.0
3.506 0.000 0.000
-1.753 3.036 0.000
0.000 0.000 14.661
Y Co Pb N
4 1 1 2
Cartesian
0.000 0.000 1.939
0.000 0.000 12.723
0.000 2.024 4.689
0.000 2.024 9.973
0.000 2.024 0.000
0.000 0.000 7.331
1.753 1.012 3.518
1.753 1.012 11.143
```

3.
This entry pairs a crystal structure of Co2SN3 with its simulated X-ray powder pattern. Radiation: a wavelength of 1.5418 Å. Structure: the GGA-PBE geometry in OQMD.
No peak broadening, texture or thermal motion is included.

Peak list (10 most intense, 5 to 70 degrees two-theta, most intense first)
- 2θ = 32.66°, intensity 100
- 2θ = 37.67°, intensity 67
- 2θ = 50.69°, intensity 53
- 2θ = 26.59°, intensity 36
- 2θ = 42.59°, intensity 28
- 2θ = 26.19°, intensity 17
- 2θ = 61.69°, intensity 17
- 2θ = 64.45°, intensity 13
- 2θ = 54.72°, intensity 12
- 2θ = 61.08°, intensity 12

```
Co2SN3
1.0
2.742 0.000 0.000
0.000 3.403 3.352
0.000 -3.403 3.352
Co S N
2 1 3
Cartesian
0.000 -1.798 3.352
0.000 1.798 3.352
0.000 0.000 4.299
0.000 -0.619 1.671
0.000 0.619 1.671
0.000 0.000 5.869
```

4.
This entry pairs a crystal structure of Sc4CoSbN2 with its simulated X-ray powder pattern. Radiation: a wavelength of 1.5418 Å. Structure: the GGA-PBE geometry in OQMD.
No peak broadening, texture or thermal motion is included.

Peak list (10 most intense, 5 to 70 degrees two-theta, most intense first)
- 2θ = 37.70°, intensity 100
- 2θ = 31.80°, intensity 23
- 2θ = 56.66°, intensity 23
- 2θ = 34.53°, intensity 20
- 2θ = 13.11°, intensity 15
- 2θ = 46.62°, intensity 14
- 2θ = 6.55°, intensity 13
- 2θ = 52.04°, intensity 13
- 2θ = 40.07°, intensity 12
- 2θ = 32.50°, intensity 10

```
Sc4CoSbN2
1.0
3.249 0.000 0.000
-1.625 2.814 0.000
0.000 0.000 13.503
Sc Co Sb N
4 1 1 2
Cartesian
0.000 0.000 1.859
0.000 0.000 11.644
0.000 1.876 4.356
0.000 1.876 9.147
0.000 1.876 0.000
0.000 0.000 6.751
1.625 0.938 3.284
1.625 0.938 10.219
```